Ta2CuRe2Se8: theoretical PXRD pattern (CuKα), based on the PBE geometry in the Materials Project.

Cell and atoms:
```
Ta2CuRe2Se8
1.0
3.465 0.000 0.000
-1.732 3.001 0.000
0.000 0.000 26.699
Ta Cu Re Se
2 1 2 8
Direct
0.000 0.000 0.000 Ta
0.000 0.000 0.499 Ta
0.000 0.000 0.877 Cu
0.000 0.000 0.249 Re
0.000 0.000 0.745 Re
0.333 0.667 0.190 Se
0.333 0.667 0.308 Se
0.333 0.667 0.688 Se
0.333 0.667 0.810 Se
0.667 0.333 0.062 Se
0.667 0.333 0.436 Se
0.667 0.333 0.562 Se
0.667 0.333 0.936 Se
```

Peak list (10 most intense, 10 to 90 degrees two-theta, in order of falling intensity)
2θ (°)  d/Å  Rel. int.
40.42  2.231  100
13.26  6.675  92
32.72  2.737  61
52.85  1.732  38
30.54  2.928  28
68.60  1.368  27
79.80  1.202  22
29.78  3.001  21
51.11  1.787  19
36.10  2.488  17


Sr2YMgTlCu2O7: theoretical PXRD pattern (CuKα), based on the PBE geometry in the Materials Project.

Cell and atoms:
```
Sr2YMgTlCu2O7
1.0
3.861 0.000 0.000
0.000 3.861 0.000
0.000 0.000 15.441
Sr Y Mg Tl Cu O
2 1 1 1 2 7
Direct
0.000 0.000 0.000 Sr
0.000 0.000 0.312 Sr
0.000 0.000 0.765 Y
0.000 0.000 0.574 Mg
0.500 0.500 0.160 Tl
0.500 0.500 0.633 Cu
0.500 0.500 0.866 Cu
0.000 0.000 0.159 O
0.000 0.500 0.625 O
0.000 0.500 0.837 O
0.500 0.000 0.625 O
0.500 0.000 0.837 O
0.500 0.500 0.004 O
0.500 0.500 0.318 O
```

Peak list (10 most intense, 10 to 90 degrees two-theta, in order of falling intensity)
2θ (°)  d/Å  Rel. int.
32.80  2.730  100
28.91  3.089  35
11.46  7.720  31
58.56  1.576  25
47.07  1.931  25
25.80  3.454  20
34.86  2.574  15
53.40  1.716  15
56.18  1.637  13
78.30  1.221  12


Pm2CoNi: theoretical PXRD pattern (CuKα), based on the PBE geometry in the Materials Project.

Cell and atoms:
```
Pm2CoNi
1.0
0.000 3.432 3.432
3.432 0.000 3.432
3.432 3.432 0.000
Pm Co Ni
2 1 1
Direct
0.250 0.250 0.250 Pm
0.750 0.750 0.750 Pm
0.000 0.000 0.000 Co
0.500 0.500 0.500 Ni
```

Peak list (8 most intense, 10 to 90 degrees two-theta, in order of falling intensity)
2θ (°)  d/Å  Rel. int.
37.04  2.427  100
66.76  1.401  34
25.96  3.432  19
53.39  1.716  17
78.89  1.213  11
60.30  1.535  8
45.79  1.982  6
84.73  1.144  4


La2Be2O5: theoretical PXRD pattern (CuKα), based on the PBE geometry in the Materials Project.

Cell and atoms:
```
La2Be2O5
1.0
3.797 -3.691 0.000
3.797 3.691 0.000
-0.140 0.000 7.457
La Be O
4 4 10
Direct
0.200 0.272 0.194 La
0.272 0.200 0.694 La
0.728 0.800 0.306 La
0.800 0.728 0.806 La
0.252 0.688 0.530 Be
0.312 0.748 0.970 Be
0.688 0.252 0.030 Be
0.748 0.312 0.470 Be
0.000 0.500 0.500 O
0.056 0.744 0.084 O
0.247 0.753 0.750 O
0.256 0.944 0.416 O
0.500 0.000 0.000 O
0.500 0.500 0.000 O
0.500 0.500 0.500 O
0.744 0.056 0.584 O
0.753 0.247 0.250 O
0.944 0.256 0.916 O
```

Peak list (10 most intense, 10 to 90 degrees two-theta, in order of falling intensity)
2θ (°)  d/Å  Rel. int.
23.43  3.797  100
33.87  2.647  87
29.48  3.030  81
24.11  3.691  74
41.59  2.172  58
34.18  2.623  52
23.87  3.728  47
29.12  3.067  39
51.78  1.765  39
33.37  2.685  33


Rb2RhAuF6: theoretical PXRD pattern (CuKα), based on the PBE geometry in the Materials Project.

Cell and atoms:
```
Rb2RhAuF6
1.0
0.000 4.453 4.453
4.453 0.000 4.453
4.453 4.453 0.000
Rb Rh Au F
2 1 1 6
Direct
0.250 0.250 0.250 Rb
0.750 0.750 0.750 Rb
0.000 0.000 0.000 Rh
0.500 0.500 0.500 Au
0.229 0.229 0.771 F
0.229 0.771 0.229 F
0.229 0.771 0.771 F
0.771 0.229 0.229 F
0.771 0.229 0.771 F
0.771 0.771 0.229 F
```

Peak list (10 most intense, 10 to 90 degrees two-theta, in order of falling intensity)
2θ (°)  d/Å  Rel. int.
28.34  3.149  100
50.18  1.818  41
40.51  2.227  34
80.74  1.190  22
58.63  1.574  21
66.38  1.408  19
19.94  4.453  18
45.55  1.992  8
73.69  1.286  7
33.37  2.685  6


Te2Mo2WSe2S2: theoretical PXRD pattern (CuKα), based on the PBE geometry in the Materials Project.

Cell and atoms:
```
Te2Mo2WSe2S2
1.0
3.346 0.000 0.000
-1.673 2.898 0.000
0.000 0.000 30.973
Te Mo W Se S
2 2 1 2 2
Direct
0.000 0.000 0.000 Te
0.000 0.000 0.122 Te
0.000 0.000 0.830 Mo
0.333 0.667 0.061 Mo
0.000 0.000 0.292 W
0.333 0.667 0.776 Se
0.333 0.667 0.884 Se
0.333 0.667 0.243 S
0.333 0.667 0.342 S
```

Peak list (10 most intense, 10 to 90 degrees two-theta, in order of falling intensity)
2θ (°)  d/Å  Rel. int.
11.43  7.743  100
37.09  2.424  66
35.53  2.527  56
44.89  2.019  41
30.86  2.898  37
54.91  1.672  34
42.73  2.116  26
31.00  2.885  25
33.01  2.714  15
77.46  1.232  13